No. 1
Calculated powder XRD pattern of Y3Ga2Pd3 for copper Kα, from a cell relaxed with GGA-PBE.
Peak positions follow from Bragg's law for the DFT cell and can differ from measured ones.

Cell lengths 4.318, 4.318, 11.328 Å; angles 90.00, 90.00, 90.00 degrees
Atoms (fractional coordinates):
Y1 0.000 0.000 0.000
Y2 0.000 0.000 0.500
Y3 0.500 0.500 0.000
Ga1 0.000 0.500 0.811
Ga2 0.500 0.000 0.189
Pd1 0.500 0.500 0.277
Pd2 0.500 0.500 0.500
Pd3 0.500 0.500 0.723

Main lines, low angle first (10° ≤ 2θ ≤ 90°):
2θ (°), Rel. int.
20.57, 64
25.95, 60
29.25, 99
31.59, 62
41.84, 100
43.59, 95

No. 2
Calculated powder XRD pattern of KTbGdCu2 for copper Kα, from a cell relaxed with GGA-PBE.
Peak positions follow from Bragg's law for the DFT cell and can differ from measured ones.

Cell lengths 3.789, 4.333, 17.394 Å; angles 90.00, 90.00, 90.00 degrees
Atoms (fractional coordinates):
K1 0.000 0.000 0.000
K2 0.000 0.500 0.500
Tb1 0.500 0.000 0.669
Tb2 0.500 0.500 0.169
Gd1 0.500 0.000 0.330
Gd2 0.500 0.500 0.830
Cu1 0.000 0.000 0.206
Cu2 0.000 0.000 0.792
Cu3 0.000 0.500 0.292
Cu4 0.000 0.500 0.706

Main lines, low angle first (10° ≤ 2θ ≤ 90°):
2θ (°), Rel. int.
10.17, 100
25.66, 30
30.84, 17
31.79, 26
35.06, 52
40.92, 31

No. 3
Calculated powder XRD pattern of K2ZrH12N6 for copper Kα, from a cell relaxed with GGA-PBE.
Peak positions follow from Bragg's law for the DFT cell and can differ from measured ones.

Cell lengths 11.376, 11.376, 11.376 Å; angles 32.90, 32.90, 32.90 degrees
Atoms (fractional coordinates):
K1 0.132 0.132 0.132
K2 0.368 0.368 0.368
K3 0.632 0.632 0.632
K4 0.868 0.868 0.868
Zr1 0.250 0.250 0.250
Zr2 0.750 0.750 0.750
H1 0.073 0.240 0.839
H2 0.076 0.189 0.676
H3 0.161 0.927 0.760
H4 0.176 0.689 0.576
H5 0.189 0.676 0.076
H6 0.240 0.839 0.073
H7 0.260 0.427 0.661
H8 0.311 0.424 0.824
H9 0.324 0.924 0.811
H10 0.339 0.740 0.573
H11 0.424 0.824 0.311
H12 0.427 0.661 0.260
H13 0.573 0.339 0.740
H14 0.576 0.176 0.689
H15 0.661 0.260 0.427
H16 0.676 0.076 0.189
H17 0.689 0.576 0.176
H18 0.740 0.573 0.339
H19 0.760 0.161 0.927
H20 0.811 0.324 0.924
H21 0.824 0.311 0.424
H22 0.839 0.073 0.240
H23 0.924 0.811 0.324
H24 0.927 0.760 0.161
N1 0.087 0.610 0.173
N2 0.110 0.587 0.673
N3 0.173 0.087 0.610
N4 0.327 0.890 0.413
N5 0.390 0.827 0.913
N6 0.413 0.327 0.890
N7 0.587 0.673 0.110
N8 0.610 0.173 0.087
N9 0.673 0.110 0.587
N10 0.827 0.913 0.390
N11 0.890 0.413 0.327
N12 0.913 0.390 0.827

Main lines, low angle first (10° ≤ 2θ ≤ 90°):
2θ (°), Rel. int.
16.81, 100
27.29, 62
27.69, 60
32.05, 34
39.27, 68
48.73, 27

No. 4
Calculated powder XRD pattern of Cu5Ag4 for copper Kα, from a cell relaxed with GGA-PBE.
Peak positions follow from Bragg's law for the DFT cell and can differ from measured ones.

Cell lengths 12.817, 12.817, 12.817 Å; angles 167.58, 163.20, 20.95 degrees
Atoms (fractional coordinates):
Cu1 0.000 0.000 0.000
Cu2 0.097 0.097 0.000
Cu3 0.339 0.339 0.000
Cu4 0.549 0.549 0.000
Cu5 0.888 0.888 0.000
Ag1 0.218 0.218 0.000
Ag2 0.444 0.444 0.000
Ag3 0.654 0.654 0.000
Ag4 0.783 0.783 0.000

Main lines, low angle first (10° ≤ 2θ ≤ 90°):
2θ (°), Rel. int.
40.20, 88
40.48, 100
46.06, 59
48.61, 29
69.21, 32
81.64, 21

No. 5
Calculated powder XRD pattern of NdAuSO for copper Kα, from a cell relaxed with GGA-PBE.
Peak positions follow from Bragg's law for the DFT cell and can differ from measured ones.

Cell lengths 9.228, 5.613, 5.728 Å; angles 90.00, 90.00, 90.00 degrees
Atoms (fractional coordinates):
Nd1 0.130 0.005 0.250
Nd2 0.130 0.495 0.750
Nd3 0.870 0.505 0.250
Nd4 0.870 0.995 0.750
Au1 0.448 0.250 0.000
Au2 0.448 0.250 0.500
Au3 0.552 0.750 0.000
Au4 0.552 0.750 0.500
S1 0.295 0.518 0.250
S2 0.295 0.982 0.750
S3 0.705 0.018 0.250
S4 0.705 0.482 0.750
O1 0.003 0.750 0.000
O2 0.003 0.750 0.500
O3 0.997 0.250 0.000
O4 0.997 0.250 0.500

Main lines, low angle first (10° ≤ 2θ ≤ 90°):
2θ (°), Rel. int.
19.24, 48
29.52, 100
32.74, 98
33.37, 94
36.94, 47
45.24, 90

No. 6
Calculated powder XRD pattern of HfZrAg2Ge4 for copper Kα, from a cell relaxed with GGA-PBE.
Peak positions follow from Bragg's law for the DFT cell and can differ from measured ones.

Cell lengths 3.897, 3.897, 9.589 Å; angles 90.00, 90.00, 90.00 degrees
Atoms (fractional coordinates):
Hf1 0.000 0.000 0.000
Zr1 0.500 0.500 0.448
Ag1 0.000 0.500 0.726
Ag2 0.500 0.000 0.726
Ge1 0.000 0.000 0.518
Ge2 0.000 0.500 0.223
Ge3 0.500 0.000 0.223
Ge4 0.500 0.500 0.934

Main lines, low angle first (10° ≤ 2θ ≤ 90°):
2θ (°), Rel. int.
29.54, 11
37.52, 19
37.65, 100
46.61, 29
61.30, 18
80.44, 29

No. 7
Calculated powder XRD pattern of KGdYNi2 for copper Kα, from a cell relaxed with GGA-PBE.
Peak positions follow from Bragg's law for the DFT cell and can differ from measured ones.

Cell lengths 3.733, 4.037, 17.726 Å; angles 90.00, 90.00, 90.00 degrees
Atoms (fractional coordinates):
K1 0.000 0.000 0.000
K2 0.000 0.500 0.500
Gd1 0.500 0.000 0.332
Gd2 0.500 0.500 0.832
Y1 0.500 0.000 0.667
Y2 0.500 0.500 0.167
Ni1 0.000 0.000 0.208
Ni2 0.000 0.000 0.792
Ni3 0.000 0.500 0.292
Ni4 0.000 0.500 0.708

Main lines, low angle first (10° ≤ 2θ ≤ 90°):
2θ (°), Rel. int.
26.74, 47
30.25, 38
31.33, 44
33.07, 60
36.13, 100
41.65, 68

No. 8
Calculated powder XRD pattern of Rb4PaO5 for copper Kα, from a cell relaxed with GGA-PBE.
Peak positions follow from Bragg's law for the DFT cell and can differ from measured ones.

Cell lengths 6.767, 6.767, 6.767 Å; angles 99.38, 99.38, 132.37 degrees
Atoms (fractional coordinates):
Rb1 0.097 0.695 0.792
Rb2 0.305 0.097 0.402
Rb3 0.695 0.903 0.598
Rb4 0.903 0.305 0.208
Pa1 0.473 0.473 0.000
O1 0.074 0.074 0.000
O2 0.275 0.428 0.694
O3 0.428 0.734 0.153
O4 0.581 0.275 0.847
O5 0.734 0.581 0.306

Main lines, low angle first (10° ≤ 2θ ≤ 90°):
2θ (°), Rel. int.
19.14, 25
28.03, 100
32.33, 52
32.77, 25
46.70, 35
55.07, 35

No. 9
Calculated powder XRD pattern of NdGdInNi2 for copper Kα, from a cell relaxed with GGA-PBE.
Peak positions follow from Bragg's law for the DFT cell and can differ from measured ones.

Cell lengths 3.757, 3.977, 14.464 Å; angles 90.00, 90.00, 90.00 degrees
Atoms (fractional coordinates):
Nd1 0.000 0.000 0.000
Nd2 0.000 0.500 0.500
Gd1 0.000 0.000 0.274
Gd2 0.000 0.500 0.774
In1 0.500 0.000 0.640
In2 0.500 0.500 0.140
Ni1 0.500 0.000 0.433
Ni2 0.500 0.000 0.835
Ni3 0.500 0.500 0.335
Ni4 0.500 0.500 0.933

Main lines, low angle first (10° ≤ 2θ ≤ 90°):
2θ (°), Rel. int.
29.11, 41
33.39, 100
34.42, 74
37.86, 34
38.48, 36
58.38, 32

No. 10
Calculated powder XRD pattern of Lu4As3W2N3 for copper Kα, from a cell relaxed with GGA-PBE.
Peak positions follow from Bragg's law for the DFT cell and can differ from measured ones.

Cell lengths 5.993, 5.993, 12.574 Å; angles 103.26, 103.26, 60.32 degrees
Atoms (fractional coordinates):
Lu1 0.032 0.204 0.103
Lu2 0.138 0.296 0.397
Lu3 0.204 0.032 0.603
Lu4 0.296 0.138 0.897
Lu5 0.704 0.862 0.103
Lu6 0.796 0.968 0.397
Lu7 0.862 0.704 0.603
Lu8 0.968 0.796 0.897
As1 0.124 0.876 0.250
As2 0.288 0.419 0.749
As3 0.419 0.288 0.249
As4 0.581 0.712 0.751
As5 0.712 0.581 0.251
As6 0.876 0.124 0.750
W1 0.381 0.528 0.084
W2 0.472 0.619 0.416
W3 0.528 0.381 0.584
W4 0.619 0.472 0.916
N1 0.000 0.500 0.000
N2 0.160 0.669 0.500
N3 0.331 0.840 0.000
N4 0.500 0.000 0.500
N5 0.669 0.160 0.000
N6 0.840 0.331 0.500

Main lines, low angle first (10° ≤ 2θ ≤ 90°):
2θ (°), Rel. int.
29.67, 17
29.82, 27
30.64, 18
37.22, 100
37.52, 50
52.74, 27

No. 11
Calculated powder XRD pattern of Cu5Ag4 for copper Kα, from a cell relaxed with GGA-PBE.
Peak positions follow from Bragg's law for the DFT cell and can differ from measured ones.

Cell lengths 7.062, 7.062, 6.786 Å; angles 96.80, 96.80, 23.11 degrees
Atoms (fractional coordinates):
Cu1 0.000 0.000 0.000
Cu2 0.220 0.220 0.349
Cu3 0.441 0.441 0.687
Cu4 0.559 0.559 0.313
Cu5 0.780 0.780 0.651
Ag1 0.106 0.106 0.650
Ag2 0.336 0.336 0.989
Ag3 0.664 0.664 0.011
Ag4 0.894 0.894 0.350

Main lines, low angle first (10° ≤ 2θ ≤ 90°):
2θ (°), Rel. int.
40.03, 51
40.16, 48
40.60, 100
44.88, 72
50.86, 24
80.16, 23

No. 12
Calculated powder XRD pattern of SrLi3NiN3 for copper Kα, from a cell relaxed with GGA-PBE.
Peak positions follow from Bragg's law for the DFT cell and can differ from measured ones.

Cell lengths 7.254, 7.254, 7.254 Å; angles 46.97, 46.97, 46.97 degrees
Atoms (fractional coordinates):
Sr1 0.163 0.163 0.163
Sr2 0.837 0.837 0.837
Li1 0.023 0.608 0.265
Li2 0.265 0.023 0.608
Li3 0.392 0.735 0.977
Li4 0.608 0.265 0.023
Li5 0.735 0.977 0.392
Li6 0.977 0.392 0.735
Ni1 0.424 0.424 0.424
Ni2 0.576 0.576 0.576
N1 0.110 0.714 0.403
N2 0.286 0.597 0.890
N3 0.403 0.110 0.714
N4 0.597 0.890 0.286
N5 0.714 0.403 0.110
N6 0.890 0.286 0.597

Main lines, low angle first (10° ≤ 2θ ≤ 90°):
2θ (°), Rel. int.
13.75, 73
25.62, 49
29.19, 47
30.93, 87
33.99, 100
37.19, 51